1.
Computed PXRD pattern
Compound: Hf2Ag3F14
Radiation: Cu Kα (λ = 1.5418 Å)
Structure: a GGA-PBE-relaxed structure
No peak broadening, texture or thermal motion is included.

Structure:
```
19
Lattice="4.5789 -3.3276 0.0000 4.5789 3.3276 0.0000 -0.2473 0.0000 8.9033" Properties=species:S:1:pos:R:3 pbc="T T T"
Hf 0.7916 0.0000 1.9592
Hf 8.1189 0.0000 6.9441
Ag 2.7169 0.0000 5.4075
Ag 4.5789 0.0000 0.0000
Ag 6.1937 0.0000 3.4957
F 0.0000 0.0000 0.0000
F 2.9248 2.1676 5.3543
F 0.8953 0.0000 6.4268
F 3.7490 1.3419 7.4083
F 2.5331 0.0000 1.1166
F 5.9857 2.1676 3.5490
F 5.1615 1.3419 1.4949
F 4.4553 0.0000 4.4516
F 3.7490 -1.3419 7.4083
F 2.9248 -2.1676 5.3543
F 6.3774 0.0000 7.7867
F 5.1615 -1.3419 1.4949
F 8.0152 0.0000 2.4765
F 5.9857 -2.1676 3.5490
```

Top 10 peaks for 10 to 90 degrees two-theta, in order of rising 2θ:
d [Å]  Position (°2θ)  intensity
4.117  21.58  94
3.403  26.18  100
3.328  26.79  47
2.629  34.10  28
2.617  34.26  24
2.588  34.66  24
2.059  43.98  19
1.980  45.83  17
1.935  46.95  31
1.752  52.21  27


2.
Computed PXRD pattern
Compound: Ag4IOF
Radiation: Cu Kα (λ = 1.5418 Å)
Structure: a GGA-PBE-relaxed structure
No peak broadening, texture or thermal motion is included.

Structure:
```
14
Lattice="4.4009 0.0000 0.0000 0.0000 8.2356 0.0000 -0.6014 0.0000 7.1819" Properties=species:S:1:pos:R:3 pbc="T T T"
Ag -0.0064 0.0000 0.1878
Ag 0.8796 5.2570 2.5821
Ag 1.5643 3.9921 5.0753
Ag 2.0579 2.0803 0.1091
Ag 1.7415 6.1981 7.0729
Ag 2.2352 8.1099 2.1067
Ag 2.9199 1.1392 4.5998
Ag 3.8058 4.1178 6.9941
I 0.5551 2.1225 3.0552
I 3.2444 6.2403 4.1267
O 0.1695 6.1434 0.5229
O 3.6299 2.0256 6.6590
F 1.2511 8.1958 5.6918
F 2.5484 4.0780 1.4902
```

Top 10 peaks for 10 to 90 degrees two-theta, in order of rising 2θ:
d [Å]  Position (°2θ)  intensity
3.517  25.32  26
2.828  31.64  24
2.715  32.99  100
2.706  33.10  24
2.671  33.55  32
2.564  34.99  28
2.394  37.57  28
2.371  37.95  72
2.183  41.36  27
2.148  42.07  35


3.
Computed PXRD pattern
Compound: InAg3F6
Radiation: Cu Kα (λ = 1.5418 Å)
Structure: a GGA-PBE-relaxed structure
No peak broadening, texture or thermal motion is included.

Structure:
```
20
Lattice="4.8943 2.8257 3.6542 -4.8943 2.8257 3.6542 0.0000 -5.6514 3.6542" Properties=species:S:1:pos:R:3 pbc="T T T"
In 0.0000 0.0000 0.0000
In 0.0000 0.0000 5.4813
Ag -1.1118 -1.9258 2.7407
Ag -1.1118 1.9258 2.7407
Ag 2.2237 0.0000 2.7407
Ag -2.2237 0.0000 8.2220
Ag 1.1118 -1.9258 8.2220
Ag 1.1118 1.9258 8.2220
F -3.2364 -2.7795 6.0365
F -4.0253 1.4130 4.9261
F -1.6579 0.0462 4.2094
F 0.7890 -4.1925 4.9261
F 0.7890 -1.4589 4.2094
F -0.8690 -1.4127 6.7532
F 0.8690 1.4127 4.2094
F -0.7890 1.4589 6.7532
F -0.7890 4.1925 6.0366
F 1.6579 -0.0462 6.7532
F 4.0253 -1.4130 6.0366
F 3.2364 2.7795 4.9261
```

Top 10 peaks for 10 to 90 degrees two-theta, in order of rising 2θ:
d [Å]  Position (°2θ)  intensity
3.353  26.58  60
3.075  29.03  80
2.928  30.53  88
2.766  32.37  100
2.608  34.39  22
2.033  44.56  26
1.915  47.48  20
1.850  49.26  48
1.809  50.43  32
1.677  54.75  28


4.
Computed PXRD pattern
Compound: Tl2InAgF6
Radiation: Cu Kα (λ = 1.5418 Å)
Structure: a GGA-PBE-relaxed structure
No peak broadening, texture or thermal motion is included.

Structure:
```
10
Lattice="3.1433 1.8148 4.5502 -3.1433 1.8148 4.5502 0.0000 -3.6295 4.5502" Properties=species:S:1:pos:R:3 pbc="T T T"
Tl 0.0000 0.0000 0.0000
Tl 0.0000 0.0000 6.5156
In 0.0000 0.0000 10.0841
Ag 0.0000 0.0000 3.4724
F -1.4587 -2.2464 6.6598
F -1.5822 0.2587 8.7446
F -1.2161 2.3865 6.6598
F 0.5670 -1.4996 8.7446
F 2.6748 -0.1401 6.6598
F 1.0151 1.2408 8.7446
```

Top 10 peaks for 10 to 90 degrees two-theta, in order of rising 2θ:
d [Å]  Position (°2θ)  intensity
3.143  28.39  100
2.892  30.93  77
2.128  42.48  45
1.815  50.28  26
1.762  51.89  40
1.628  56.52  12
1.572  58.75  15
1.381  67.88  16
1.188  80.92  12
1.173  82.18  12


5.
Computed PXRD pattern
Compound: AgIrF6
Radiation: Cu Kα (λ = 1.5418 Å)
Structure: a GGA-PBE-relaxed structure
No peak broadening, texture or thermal motion is included.

Structure:
```
8
Lattice="2.4750 1.4290 4.7180 -2.4750 1.4290 4.7180 0.0000 -2.8579 4.7180" Properties=species:S:1:pos:R:3 pbc="T T T"
Ag 0.0000 0.0000 0.0000
Ir 0.0000 0.0000 7.0771
F -0.9742 -1.2310 5.9723
F -1.5532 0.2281 8.1818
F -0.5790 1.4592 5.9724
F 0.5790 -1.4592 8.1818
F 1.5532 -0.2281 5.9724
F 0.9742 1.2310 8.1818
```

Top 10 peaks for 10 to 90 degrees two-theta, in order of rising 2θ:
d [Å]  Position (°2θ)  intensity
4.103  21.66  13
3.667  24.27  100
2.729  32.82  55
2.475  36.30  26
2.051  44.15  25
1.833  49.73  13
1.708  53.67  35
1.635  56.25  11
1.579  58.43  20
1.473  63.11  15


6.
Computed PXRD pattern
Compound: AgIrF7
Radiation: Cu Kα (λ = 1.5418 Å)
Structure: a GGA-PBE-relaxed structure
No peak broadening, texture or thermal motion is included.

Structure:
```
36
Lattice="7.1526 0.0000 0.0000 0.0000 6.8551 0.0000 0.0000 0.0000 9.8903" Properties=species:S:1:pos:R:3 pbc="T T T"
Ag 1.0934 1.7138 2.3781
Ag 2.4829 5.1413 7.3233
Ag 4.6697 1.7138 2.5671
Ag 6.0592 5.1413 7.5123
Ir 1.3477 5.1413 0.6180
Ir 2.2286 1.7138 5.5632
Ir 4.9240 5.1413 4.3272
Ir 5.8049 1.7138 9.2723
F 0.4275 1.7138 0.0541
F 0.4765 1.7138 6.1922
F 0.6490 5.1413 6.4184
F 0.7632 3.8704 1.9175
F 0.7632 6.4123 1.9175
F 1.7665 0.3773 4.2791
F 1.7665 3.0503 4.2791
F 1.8098 3.8048 9.2242
F 1.8098 6.4778 9.2242
F 2.8131 0.4428 6.8626
F 2.8131 2.9847 6.8626
F 2.9273 1.7138 1.4732
F 3.0998 5.1413 1.2470
F 3.1488 5.1413 4.9992
F 4.0038 1.7138 4.8911
F 4.0528 1.7138 8.6433
F 4.2253 5.1413 8.4171
F 4.3395 3.8704 3.0277
F 4.3395 6.4123 3.0277
F 5.3428 0.3773 0.6661
F 5.3428 3.0503 0.6661
F 5.3861 3.8048 5.6113
F 5.3861 6.4778 5.6113
F 6.3895 0.4428 7.9729
F 6.3895 2.9847 7.9729
F 6.5036 1.7138 3.4720
F 6.6761 5.1413 3.6981
F 6.7251 5.1413 9.8363
```

Top 10 peaks for 10 to 90 degrees two-theta, in order of rising 2θ:
d [Å]  Position (°2θ)  intensity
5.796  15.29  20
4.426  20.06  100
4.068  21.85  30
3.428  26.00  46
3.363  26.50  28
2.971  30.08  50
2.669  33.57  29
2.621  34.21  27
1.878  48.47  21
1.664  55.20  18


7.
Computed PXRD pattern
Compound: K2AgF4
Radiation: Cu Kα (λ = 1.5418 Å)
Structure: a GGA-PBE-relaxed structure
No peak broadening, texture or thermal motion is included.

Structure:
```
14
Lattice="3.6362 0.0000 0.0000 0.0000 9.9145 0.0000 -0.0735 0.0000 6.2787" Properties=species:S:1:pos:R:3 pbc="T T T"
K 0.0383 1.7753 2.6169
K 0.0016 3.1820 5.7562
K 3.5611 6.7325 0.5225
K 3.5244 8.1393 3.6618
Ag 1.8181 0.0000 0.0000
Ag 1.7813 4.9573 3.1393
F 0.2441 0.5441 4.8543
F 0.2809 4.4132 1.7150
F 1.7238 6.9036 2.3328
F 1.6871 7.9682 5.4721
F 1.8756 1.9464 0.8066
F 1.8389 3.0109 3.9459
F 3.2818 5.5014 4.5637
F 3.3185 9.3705 1.4243
```

Top 10 peaks for 10 to 90 degrees two-theta, in order of rising 2θ:
d [Å]  Position (°2θ)  intensity
5.304  16.71  100
3.139  28.43  19
3.013  29.65  74
2.986  29.93  47
2.927  30.55  93
2.153  41.97  26
2.133  42.38  28
2.048  44.23  22
1.818  50.18  17
1.675  54.80  17


8.
Computed PXRD pattern
Compound: KAgSO4F
Radiation: Cu Kα (λ = 1.5418 Å)
Structure: a GGA-PBE-relaxed structure
No peak broadening, texture or thermal motion is included.

Structure:
```
16
Lattice="5.9084 0.0000 0.0000 -1.8955 6.2526 0.0000 -1.7047 -2.6148 6.2770" Properties=species:S:1:pos:R:3 pbc="T T T"
K 0.2580 1.7488 0.7176
K 2.0501 1.8890 5.5594
Ag -0.9878 3.9137 4.5568
Ag 3.2959 -0.2759 1.7203
S -0.6453 0.5322 4.0342
S 2.9534 3.1056 2.2428
O -1.9398 0.3557 4.6666
O -0.6822 0.0659 2.6058
O -0.1731 1.9527 4.0218
O 0.4431 -0.2162 4.7600
O 1.8650 3.8540 1.5170
O 2.4812 1.6851 2.2552
O 2.9903 3.5719 3.6713
O 4.2479 3.2821 1.6104
F -0.2746 5.7881 0.4661
F 2.5827 -2.1503 5.8109
```

Top 10 peaks for 10 to 90 degrees two-theta, in order of rising 2θ:
d [Å]  Position (°2θ)  intensity
5.772  15.35  36
5.017  17.68  98
3.678  24.20  37
3.478  25.61  41
3.254  27.41  100
3.139  28.44  45
3.116  28.65  28
3.084  28.95  100
2.819  31.75  40
2.705  33.12  40